# NaSr3CeP3O13
Theoretical powder diffraction line list, Cu Ka. Input: a cell relaxed with PBE.
Kinematic intensities with the Lorentz-polarization factor, no thermal factor.

Top 10 peaks for 2θ from 10° to 80°, by intensity:
30.69 deg, I 100.0
31.00 deg, I 52.4
47.58 deg, I 40.6
22.07 deg, I 38.5
31.81 deg, I 35.2
27.97 deg, I 34.0
27.06 deg, I 26.7
45.01 deg, I 25.7
50.19 deg, I 23.6
49.50 deg, I 23.5

Crystal structure
```
data_NaSr3CeP3O13
_chemical_formula_sum 'Na2 Sr6 Ce2 P6 O26'
_space_group_name_H-M_alt 'P -3'
_space_group_IT_number 147
_cell_length_a 9.7445
_cell_length_b 9.7445
_cell_length_c 7.1601
_cell_angle_alpha 90.00
_cell_angle_beta 90.00
_cell_angle_gamma 120.00
loop_
_space_group_symop_operation_xyz
'x,y,z'
'-x,-y,-z'
'-y,x-y,z'
'y,-x+y,-z'
'-x+y,-x,z'
'x-y,x,-z'
loop_
_atom_site_label
_atom_site_type_symbol
_atom_site_fract_x
_atom_site_fract_y
_atom_site_fract_z
Na1 Na 0.3333 0.6667 0.4747
Sr1 Sr 0.0167 0.2467 0.2528
Ce1 Ce 0.3333 0.6667 0.9760
P1 P 0.0309 0.4071 0.7563
O1 O 0.0000 0.0000 0.1768
O2 O 0.0456 0.3057 0.6014
O3 O 0.1078 0.3858 0.9387
O4 O 0.1295 0.5887 0.7182
O5 O 0.1476 0.6476 0.2151
```


# Na2CePaO5
Theoretical powder diffraction line list, Cu Ka. Input: a cell relaxed with PBE.
Kinematic intensities with the Lorentz-polarization factor, no thermal factor.

Top 10 peaks for 2θ from 10° to 80°, by intensity:
29.34 deg, I 100.0
21.10 deg, I 95.2
30.02 deg, I 67.4
20.15 deg, I 53.3
52.88 deg, I 41.3
42.97 deg, I 33.2
36.42 deg, I 31.0
51.61 deg, I 29.2
46.52 deg, I 24.7
10.04 deg, I 24.4

Crystal structure
```
data_Na2CePaO5
_chemical_formula_sum 'Na2 Ce1 Pa1 O5'
_space_group_name_H-M_alt 'P 4/m m m'
_space_group_IT_number 123
_space_group_name_Hall '-P 4 2'
_cell_length_a 4.210
_cell_length_b 4.210
_cell_length_c 8.813
_cell_angle_alpha 90.00
_cell_angle_beta 90.00
_cell_angle_gamma 90.00
loop_
_atom_site_label
_atom_site_type_symbol
_atom_site_fract_x
_atom_site_fract_y
_atom_site_fract_z
Na1 Na 0.000 0.000 0.237
Ce1 Ce 0.500 0.500 0.500
Pa1 Pa 0.500 0.500 0.000
O1 O 0.000 0.000 0.500
O2 O 0.000 0.500 0.000
O3 O 0.500 0.500 0.251
```


# NaCePaO6
Theoretical powder diffraction line list, Cu Ka. Input: a cell relaxed with PBE.
Kinematic intensities with the Lorentz-polarization factor, no thermal factor.

Top 10 peaks for 2θ from 10° to 80°, by intensity:
25.65 deg, I 100.0
18.14 deg, I 36.9
31.69 deg, I 32.3
49.05 deg, I 31.3
41.21 deg, I 28.9
52.90 deg, I 28.4
56.45 deg, I 11.9
72.24 deg, I 11.3
59.31 deg, I 10.1
77.75 deg, I 9.3

Crystal structure
```
data_NaCePaO6
_chemical_formula_sum 'Na1 Ce1 Pa1 O6'
_space_group_name_H-M_alt 'P 3 1 2'
_space_group_IT_number 149
_cell_length_a 5.6472
_cell_length_b 5.6472
_cell_length_c 4.9314
_cell_angle_alpha 90.00
_cell_angle_beta 90.00
_cell_angle_gamma 120.00
loop_
_space_group_symop_operation_xyz
'x,y,z'
'-y,x-y,z'
'-x+y,-x,z'
'-y,-x,-z'
'-x+y,y,-z'
'x,x-y,-z'
loop_
_atom_site_label
_atom_site_type_symbol
_atom_site_fract_x
_atom_site_fract_y
_atom_site_fract_z
Na1 Na 0.0000 0.0000 0.0000
Ce1 Ce 0.3333 0.6667 0.0000
Pa1 Pa 0.6667 0.3333 0.5000
O1 O 0.3658 0.0113 0.2512
```


# Na4CePd3O8
Theoretical powder diffraction line list, Cu Ka. Input: a cell relaxed with PBE.
Kinematic intensities with the Lorentz-polarization factor, no thermal factor.

Top 10 peaks for 2θ from 10° to 80°, by intensity:
16.30 deg, I 100.0
40.74 deg, I 54.1
32.75 deg, I 43.5
33.36 deg, I 43.1
27.86 deg, I 24.8
32.94 deg, I 24.6
33.21 deg, I 24.2
32.14 deg, I 23.0
52.68 deg, I 22.1
53.76 deg, I 18.5

Crystal structure
```
data_Na4CePd3O8
_chemical_formula_sum 'Na8 Ce2 Pd6 O16'
_space_group_name_H-M_alt 'C 1 2/m 1'
_space_group_IT_number 12
_cell_length_a 12.508
_cell_length_b 6.168
_cell_length_c 6.369
_cell_angle_alpha 90.00
_cell_angle_beta 119.02
_cell_angle_gamma 90.00
loop_
_space_group_symop_operation_xyz
'x,y,z'
'-x,-y,-z'
'-x,y,-z'
'x,-y,z'
'x+1/2,y+1/2,z'
'-x+1/2,-y+1/2,-z'
'-x+1/2,y+1/2,-z'
'x+1/2,-y+1/2,z'
loop_
_atom_site_label
_atom_site_type_symbol
_atom_site_fract_x
_atom_site_fract_y
_atom_site_fract_z
Na1 Na 0.000 0.000 0.000
Na2 Na 0.000 0.500 0.000
Na3 Na 0.250 0.250 0.500
Ce1 Ce 0.000 0.000 0.500
Pd1 Pd 0.000 0.500 0.500
Pd2 Pd 0.250 0.250 0.000
O1 O 0.037 0.264 0.311
O2 O 0.190 0.500 0.753
O3 O 0.218 0.000 0.761
```